No. 1
Calculated powder X-ray diffraction pattern of Np4SbTe3 for Cu Kα (λ = 1.5418 Å), from DFT lattice parameters and positions (PBE).

Most intense lines, 10 to 90 degrees two-theta, low angle first:
2θ/deg, intensity
24.77, 170
28.68, 1000
41.00, 774
48.49, 94
50.78, 210
50.86, 70
59.38, 132
67.22, 243
67.30, 121
74.64, 158
74.75, 112
88.98, 60

Structure:
Cell: 7.6174 8.8043 7.6346 Å, 90.00 109.49 90.00°
Fractional positions:
Np1 0.2476 0.1235 0.9997
Np2 0.2476 0.8765 0.4997
Np3 0.2491 0.3741 0.4991
Np4 0.2491 0.6259 0.9991
Np5 0.7509 0.3741 0.0009
Np6 0.7509 0.6259 0.5009
Np7 0.7524 0.1235 0.5003
Np8 0.7524 0.8765 0.0003
Sb1 0.0000 0.1261 0.2500
Sb2 0.0000 0.8739 0.7500
Te1 0.0000 0.3752 0.7500
Te2 0.0000 0.6248 0.2500
Te3 0.5000 0.1254 0.7500
Te4 0.5000 0.3748 0.2500
Te5 0.5000 0.6252 0.7500
Te6 0.5000 0.8746 0.2500

No. 2
Calculated powder X-ray diffraction pattern of KMn2NiBr8 for Cu Kα (λ = 1.5418 Å), from DFT lattice parameters and positions (PBE).

Most intense lines, 10 to 90 degrees two-theta, low angle first:
2θ/deg, intensity
17.92, 436
28.10, 1000
28.89, 400
32.79, 774
41.97, 153
46.55, 438
47.57, 431
55.71, 289
56.62, 128
68.75, 116
77.51, 126
87.11, 124

Structure:
Cell: 6.7588 6.7588 9.2722 Å, 90.00 90.00 120.00°
Fractional positions:
K1 0.0000 0.0000 0.0000
Mn1 0.3333 0.6667 0.7211
Mn2 0.6667 0.3333 0.2789
Ni1 0.0000 0.0000 0.5000
Br1 0.0140 0.7061 0.3382
Br2 0.2939 0.3079 0.3382
Br3 0.3079 0.0140 0.6618
Br4 0.3333 0.6667 0.9803
Br5 0.6667 0.3333 0.0197
Br6 0.6921 0.9860 0.3382
Br7 0.7061 0.6921 0.6618
Br8 0.9860 0.2939 0.6618

No. 3
Calculated powder X-ray diffraction pattern of SmC6 for Cu Kα (λ = 1.5418 Å), from DFT lattice parameters and positions (PBE).

Most intense lines, 10 to 90 degrees two-theta, low angle first:
2θ/deg, intensity
18.93, 124
23.73, 949
30.53, 1000
38.41, 179
41.72, 139
45.65, 332
46.19, 450
48.56, 138
52.58, 219
63.55, 123
69.26, 191
78.94, 133

Structure:
Cell: 4.3295 4.3295 4.6873 Å, 90.00 90.00 120.00°
Fractional positions:
Sm1 0.0000 0.0000 0.0000
C1 0.0000 0.3329 0.5000
C2 0.0000 0.6671 0.5000
C3 0.3329 0.0000 0.5000
C4 0.3329 0.3329 0.5000
C5 0.6671 0.0000 0.5000
C6 0.6671 0.6671 0.5000

No. 4
Calculated powder X-ray diffraction pattern of Na8B11C5 for Cu Kα (λ = 1.5418 Å), from DFT lattice parameters and positions (PBE).

Most intense lines, 10 to 90 degrees two-theta, low angle first:
2θ/deg, intensity
35.58, 98
36.04, 177
41.56, 499
41.96, 1000
42.27, 374
56.73, 99
64.20, 176
65.08, 85
77.08, 124
79.91, 170
80.24, 107
80.72, 83

Structure:
Cell: 17.3490 17.3490 17.3490 Å, 170.52 19.26 163.27°
Fractional positions:
Na1 0.0631 0.0000 0.0631
Na2 0.1920 0.0056 0.1864
Na3 0.3124 0.9988 0.3136
Na4 0.4390 0.0015 0.4375
Na5 0.5640 0.0015 0.5625
Na6 0.6852 0.9988 0.6864
Na7 0.8192 0.0056 0.8136
Na8 0.9369 0.0000 0.9369
B1 0.0859 0.3386 0.7472
B2 0.1405 0.6405 0.5000
B3 0.2086 0.3330 0.8756
B4 0.3443 0.3443 0.0000
B5 0.4207 0.6679 0.7528
B6 0.4574 0.3330 0.1244
B7 0.5914 0.3386 0.2528
B8 0.6786 0.6786 0.0000
B9 0.7081 0.3326 0.3756
B10 0.9150 0.6679 0.2472
B11 0.9570 0.3326 0.6244
C1 0.0423 0.6668 0.3755
C2 0.2913 0.6668 0.6245
C3 0.5424 0.6667 0.8757
C4 0.7910 0.6667 0.1243
C5 0.8344 0.3344 0.5000

No. 5
Calculated powder X-ray diffraction pattern of TaIrRu3 for Cu Kα (λ = 1.5418 Å), from DFT lattice parameters and positions (PBE).

Most intense lines, 10 to 90 degrees two-theta, low angle first:
2θ/deg, intensity
20.65, 182
21.82, 372
24.24, 634
33.79, 276
35.28, 247
39.93, 224
42.02, 1000
44.49, 283
49.66, 616
71.08, 209
74.62, 182
87.84, 247

Structure:
Cell: 5.3053 5.3053 12.2189 Å, 90.00 90.00 120.00°
Fractional positions:
Ta1 0.0000 0.0000 0.0000
Ta2 0.3333 0.6667 0.6667
Ta3 0.6667 0.3333 0.3333
Ir1 0.0000 0.0000 0.5000
Ir2 0.3333 0.6667 0.1667
Ir3 0.6667 0.3333 0.8333
Ru1 0.0000 0.5000 0.0000
Ru2 0.1667 0.3333 0.3333
Ru3 0.1667 0.8333 0.3333
Ru4 0.3333 0.1667 0.6667
Ru5 0.5000 0.0000 0.0000
Ru6 0.5000 0.5000 0.0000
Ru7 0.6667 0.8333 0.3333
Ru8 0.8333 0.1667 0.6667
Ru9 0.8333 0.6667 0.6667

No. 6
Calculated powder X-ray diffraction pattern of Dy4Ho8Pu for Cu Kα (λ = 1.5418 Å), from DFT lattice parameters and positions (PBE).

Most intense lines, 10 to 90 degrees two-theta, low angle first:
2θ/deg, intensity
16.32, 63
20.02, 83
23.15, 47
25.93, 60
32.97, 1000
47.33, 183
58.85, 286
58.99, 94
69.09, 59
69.24, 58
78.73, 82
78.83, 81

Structure:
Cell: 7.6833 7.6833 7.6833 Å, 90.11 90.11 90.11°
Fractional positions:
Dy1 0.0000 0.0000 0.0000
Dy2 0.0000 0.5000 0.5000
Dy3 0.5000 0.0000 0.5000
Dy4 0.5000 0.5000 0.0000
Ho1 0.2443 0.2443 0.7546
Ho2 0.2443 0.7546 0.2443
Ho3 0.2446 0.2446 0.2446
Ho4 0.2454 0.7557 0.7557
Ho5 0.7546 0.2443 0.2443
Ho6 0.7554 0.7554 0.7554
Ho7 0.7557 0.2454 0.7557
Ho8 0.7557 0.7557 0.2454
Pu1 0.5000 0.5000 0.5000

No. 7
Calculated powder X-ray diffraction pattern of SmPa4O10 for Cu Kα (λ = 1.5418 Å), from DFT lattice parameters and positions (PBE).

Most intense lines, 10 to 90 degrees two-theta, low angle first:
2θ/deg, intensity
28.18, 1000
28.36, 326
32.71, 480
46.82, 335
47.05, 327
55.54, 157
55.64, 311
55.85, 154
58.28, 104
68.55, 104
75.52, 129
87.13, 112

Structure:
Cell: 15.8939 15.8939 15.8939 Å, 14.03 14.03 14.03°
Fractional positions:
Sm1 0.0000 0.0000 0.0000
Pa1 0.2000 0.2000 0.2000
Pa2 0.3994 0.3994 0.3994
Pa3 0.6006 0.6006 0.6006
Pa4 0.8000 0.8000 0.8000
O1 0.0526 0.0526 0.0526
O2 0.1499 0.1499 0.1499
O3 0.2495 0.2495 0.2495
O4 0.3530 0.3530 0.3530
O5 0.4503 0.4503 0.4503
O6 0.5497 0.5497 0.5497
O7 0.6470 0.6470 0.6470
O8 0.7505 0.7505 0.7505
O9 0.8501 0.8501 0.8501
O10 0.9474 0.9474 0.9474

No. 8
Calculated powder X-ray diffraction pattern of PrSm4Pu3S8 for Cu Kα (λ = 1.5418 Å), from DFT lattice parameters and positions (PBE).

Most intense lines, 10 to 90 degrees two-theta, low angle first:
2θ/deg, intensity
27.20, 227
27.32, 672
31.61, 1000
45.24, 368
45.40, 365
53.59, 113
53.75, 337
56.37, 192
66.02, 119
74.93, 166
75.17, 165
83.77, 126

Structure:
Cell: 8.0183 8.0183 8.0183 Å, 59.78 59.78 59.78°
Fractional positions:
Pr1 0.0000 0.0000 0.0000
Sm1 0.0000 0.0000 0.5000
Sm2 0.0000 0.5000 0.0000
Sm3 0.5000 0.0000 0.0000
Sm4 0.5000 0.5000 0.5000
Pu1 0.0000 0.5000 0.5000
Pu2 0.5000 0.0000 0.5000
Pu3 0.5000 0.5000 0.0000
S1 0.2519 0.2519 0.2519
S2 0.2526 0.2526 0.7440
S3 0.2526 0.7440 0.2526
S4 0.2560 0.7474 0.7474
S5 0.7440 0.2526 0.2526
S6 0.7474 0.2560 0.7474
S7 0.7474 0.7474 0.2560
S8 0.7481 0.7481 0.7481

No. 9
Calculated powder X-ray diffraction pattern of HfZrMn4 for Cu Kα (λ = 1.5418 Å), from DFT lattice parameters and positions (PBE).

Most intense lines, 10 to 90 degrees two-theta, low angle first:
2θ/deg, intensity
21.99, 181
25.44, 69
36.29, 613
42.83, 1000
44.84, 172
57.36, 48
58.99, 31
65.28, 219
69.79, 297
77.04, 210
81.29, 39
88.27, 99

Structure:
Cell: 4.9512 4.9512 4.9512 Å, 60.00 60.00 60.00°
Fractional positions:
Hf1 0.0000 0.0000 0.0000
Zr1 0.7500 0.7500 0.7500
Mn1 0.3748 0.3748 0.3748
Mn2 0.3748 0.3748 0.8755
Mn3 0.3748 0.8755 0.3748
Mn4 0.8755 0.3748 0.3748

No. 10
Calculated powder X-ray diffraction pattern of LaErInPb for Cu Kα (λ = 1.5418 Å), from DFT lattice parameters and positions (PBE).

Most intense lines, 10 to 90 degrees two-theta, low angle first:
2θ/deg, intensity
20.08, 63
31.91, 1000
35.34, 381
40.19, 134
50.84, 136
54.57, 220
61.29, 310
66.71, 120
67.87, 115
83.58, 66
85.48, 63
89.53, 116

Structure:
Cell: 5.0798 5.0798 8.9761 Å, 90.00 90.00 90.00°
Fractional positions:
La1 0.0000 0.0000 0.0000
La2 0.5000 0.5000 0.5000
Er1 0.0000 0.0000 0.5000
Er2 0.5000 0.5000 0.0000
In1 0.0000 0.5000 0.7500
In2 0.5000 0.0000 0.2500
Pb1 0.0000 0.5000 0.2500
Pb2 0.5000 0.0000 0.7500

No. 11
Calculated powder X-ray diffraction pattern of PaZn6Pd6 for Cu Kα (λ = 1.5418 Å), from DFT lattice parameters and positions (PBE).

Most intense lines, 10 to 90 degrees two-theta, low angle first:
2θ/deg, intensity
31.85, 360
34.26, 434
34.76, 311
35.17, 804
39.97, 532
40.12, 423
40.56, 888
40.76, 1000
45.20, 413
65.77, 239
73.92, 347
74.34, 273

Structure:
Cell: 6.7725 6.7725 6.7725 Å, 134.53 99.31 97.87°
Fractional positions:
Pa1 0.0000 0.0000 0.0000
Zn1 0.0000 0.0000 0.5000
Zn2 0.0000 0.5000 0.0000
Zn3 0.2476 0.7476 0.5000
Zn4 0.5000 0.0000 0.0000
Zn5 0.5000 0.5000 0.5000
Zn6 0.7524 0.2524 0.5000
Pd1 0.1735 0.5000 0.6735
Pd2 0.3315 0.0000 0.3315
Pd3 0.3396 0.3396 0.0000
Pd4 0.6604 0.6604 0.0000
Pd5 0.6685 0.0000 0.6685
Pd6 0.8265 0.5000 0.3265

No. 12
Calculated powder X-ray diffraction pattern of Tl2SnSe4 for Cu Kα (λ = 1.5418 Å), from DFT lattice parameters and positions (PBE).

Most intense lines, 10 to 90 degrees two-theta, low angle first:
2θ/deg, intensity
14.97, 237
21.14, 1000
21.43, 219
26.34, 637
27.39, 404
30.19, 395
33.64, 910
34.39, 231
40.01, 199
40.48, 470
43.83, 223
46.06, 237

Structure:
Cell: 11.8393 6.7705 6.7705 Å, 118.22 90.00 90.00°
Fractional positions:
Tl1 0.0000 0.0000 0.0000
Tl2 0.2500 0.7242 0.4136
Tl3 0.5000 0.0000 0.0000
Tl4 0.7500 0.4136 0.7242
Sn1 0.2500 0.2956 0.7249
Sn2 0.7500 0.7249 0.2956
Se1 0.0829 0.0364 0.5094
Se2 0.2500 0.2977 0.1114
Se3 0.2500 0.7039 0.8164
Se4 0.4171 0.0364 0.5094
Se5 0.5829 0.5094 0.0364
Se6 0.7500 0.1114 0.2977
Se7 0.7500 0.8164 0.7039
Se8 0.9171 0.5094 0.0364

No. 13
Calculated powder X-ray diffraction pattern of Sm3Er7Th for Cu Kα (λ = 1.5418 Å), from DFT lattice parameters and positions (PBE).

Most intense lines, 10 to 90 degrees two-theta, low angle first:
2θ/deg, intensity
28.47, 371
31.74, 865
32.05, 836
32.19, 646
32.33, 729
33.21, 1000
46.05, 205
46.49, 193
52.66, 237
58.79, 236
58.98, 233
63.53, 284

Structure:
Cell: 9.8973 9.8973 11.0769 Å, 90.23 90.23 138.88°
Fractional positions:
Sm1 0.0000 0.0000 0.0000
Sm2 0.2503 0.7499 0.2496
Sm3 0.2501 0.7497 0.7504
Sm4 0.5000 0.5000 0.5000
Sm5 0.7499 0.2503 0.2496
Sm6 0.7497 0.2501 0.7504
Er1 0.0870 0.4077 0.4722
Er2 0.0922 0.4128 0.0272
Er3 0.1633 0.3359 0.7497
Er4 0.2501 0.2501 0.2500
Er5 0.3359 0.1633 0.7497
Er6 0.4077 0.0870 0.4722
Er7 0.4128 0.0922 0.0272
Er8 0.5872 0.9078 0.9728
Er9 0.5923 0.9130 0.5278
Er10 0.6641 0.8367 0.2503
Er11 0.7499 0.7499 0.7500
Er12 0.8367 0.6641 0.2503
Er13 0.9078 0.5872 0.9728
Er14 0.9130 0.5923 0.5278
Th1 0.0000 0.0000 0.5000
Th2 0.5000 0.5000 0.0000